# TiAlPtRh
Computed XRD peak list, copper Kα. Input: DFT lattice parameters and positions (PBE).

Top 12 peaks for 2θ = 10–90°, most intense first:
| d [Å] | Rel. int. |
| --- | --- |
| 2.240 | 100 |
| 2.024 | 37 |
| 2.863 | 36 |
| 3.597 | 32 |
| 1.206 | 27 |
| 1.345 | 19 |
| 3.528 | 18 |
| 1.764 | 18 |
| 1.798 | 13 |
| 1.431 | 12 |
| 1.523 | 11 |
| 1.120 | 11 |

Cell and atoms:
Lattice parameters (Å, degrees): 4.5972 4.5972 4.5972 127.75 127.75 77.04
Atoms (fractional coordinates):
Ti1 0.0000 0.0000 0.0000
Al1 0.5000 0.5000 0.0000
Pt1 0.7500 0.2500 0.5000
Rh1 0.2500 0.7500 0.5000